Tb2Pm6Pr3Nd: calculated powder XRD pattern (Cu Kα (λ = 1.5418 Å)), based on a DFT-relaxed cell (PBE, Alexandria).
Neutral-atom scattering factors, no anomalous dispersion.

Structure:
a = 6.333 Å, b = 10.969 Å, c = 12.127 Å
α = 90.00°, β = 100.08°, γ = 90.00°
Space group C2/m (No. 12)
Unique sites:
Tb (0.000, 0.167, 0.000) (multiplicity 4)
Pm (0.249, 0.000, 0.247) (multiplicity 4)
Pm (0.250, 0.167, 0.753) (multiplicity 8)
Pr (0.000, 0.000, 0.500) (multiplicity 2)
Pr (0.000, 0.333, 0.500) (multiplicity 4)
Nd (0.000, 0.500, 0.000) (multiplicity 2)

Principal peaks in the range 15° ≤ 2θ ≤ 90°, by angle:
hkl 1 3 1, 2.985 Å, 2θ = 29.93°, rel. 100; hkl 2 0 2, 2.585 Å, 2θ = 34.70°, rel. 51; hkl 0 6 0, 1.828 Å, 2θ = 49.89°, rel. 36; hkl 4 0 0, 1.559 Å, 2θ = 59.27°, rel. 43; hkl 2 6 2, 1.493 Å, 2θ = 62.19°, rel. 12; hkl 4 0 4, 1.293 Å, 2θ = 73.22°, rel. 6; hkl 4 6 0, 1.186 Å, 2θ = 81.07°, rel. 18; hkl 5 3 1, 1.156 Å, 2θ = 83.64°, rel. 16

Fe2Ni5Ir2: calculated powder XRD pattern (Cu Kα (λ = 1.5418 Å)), based on a DFT-relaxed cell (PBE, Alexandria).
Neutral-atom scattering factors, no anomalous dispersion.

Structure:
a = 2.620 Å, b = 6.433 Å, c = 6.769 Å
α = 103.28°, β = 101.11°, γ = 90.01°
Space group P-1 (No. 2)
Unique sites:
Fe (0.158, 0.494, 0.317) (multiplicity 2)
Ni (0.087, 0.827, 0.174) (multiplicity 2)
Ni (0.428, 0.833, 0.855) (multiplicity 2)
Ni (0.500, 0.500, 0.000) (multiplicity 1)
Ir (0.242, 0.176, 0.484) (multiplicity 2)

Principal peaks in the range 15° ≤ 2θ ≤ 90°, by angle:
hkl 0 0 2, 3.229 Å, 2θ = 27.63°, rel. 22; hkl 1 -1 1, 2.193 Å, 2θ = 41.15°, rel. 44; hkl 0 0 3, 2.153 Å, 2θ = 41.97°, rel. 22; hkl 0 3 0, 2.085 Å, 2θ = 43.41°, rel. 70; hkl -1 1 2, 2.030 Å, 2θ = 44.63°, rel. 100; hkl 0 2 -3, 2.006 Å, 2θ = 45.20°, rel. 43; hkl 1 2 -2, 1.935 Å, 2θ = 46.96°, rel. 69; hkl 0 1 3, 1.903 Å, 2θ = 47.80°, rel. 30; hkl 1 1 -5, 1.286 Å, 2θ = 73.67°, rel. 28; hkl 1 4 -5, 1.097 Å, 2θ = 89.33°, rel. 28

Li2AcBiO: calculated powder XRD pattern (Cu Kα (λ = 1.5418 Å)), based on a DFT-relaxed cell (PBE, Alexandria).
Neutral-atom scattering factors, no anomalous dispersion.

Structure:
a = 6.793 Å, b = 6.793 Å, c = 9.773 Å
α = 90.00°, β = 90.00°, γ = 90.00°
Space group I4/mcm (No. 140)
Unique sites:
Li (0.202, 0.298, 0.000) (multiplicity 8)
Ac (0.000, 0.000, 0.250) (multiplicity 4)
Bi (0.000, 0.500, 0.250) (multiplicity 4)
O (0.000, 0.000, 0.000) (multiplicity 4)

Principal peaks in the range 15° ≤ 2θ ≤ 90°, by angle:
hkl 0 0 2, 4.886 Å, 2θ = 18.16°, rel. 88; hkl 2 0 0, 3.397 Å, 2θ = 26.24°, rel. 90; hkl 2 0 2, 2.789 Å, 2θ = 32.09°, rel. 100; hkl 0 0 4, 2.443 Å, 2θ = 36.79°, rel. 21; hkl 2 2 0, 2.402 Å, 2θ = 37.45°, rel. 39; hkl 2 2 2, 2.155 Å, 2θ = 41.91°, rel. 46; hkl 2 0 4, 1.983 Å, 2θ = 45.75°, rel. 41; hkl 2 2 4, 1.713 Å, 2θ = 53.50°, rel. 28; hkl 4 2 2, 1.451 Å, 2θ = 64.21°, rel. 29; hkl 4 2 4, 1.290 Å, 2θ = 73.40°, rel. 21

- Which formula does entry 1 have?
  Tb2Pm6Pr3Nd